No. 1
# NdFeGe2O7
Theoretical powder diffractogram, Cu Kα, 1.54184 Å. Input: the PBE+U geometry in the Materials Project.
Intensities are scaled so that the largest is 100.

Peak list (8 most intense, 2θ from 10° to 90°, in order of falling intensity)
27.3°, 3.264 Å, intensity 100
29.3°, 3.043 Å, intensity 77
30.8°, 2.901 Å, intensity 57
27.2°, 3.280 Å, intensity 47
30.2°, 2.960 Å, intensity 39
32.6°, 2.746 Å, intensity 34
35.5°, 2.531 Å, intensity 29
15.3°, 5.802 Å, intensity 25

Cell and atoms:
abc: 7.3783 6.6898 13.1244
angles: 90.00 117.79 90.00
Fractional coordinates of all 44 atoms:
Nd (0.2410, 0.1461, 0.4748)
Nd (0.2410, 0.3539, 0.9748)
Nd (0.7590, 0.6461, 0.0252)
Nd (0.7590, 0.8539, 0.5252)
Fe (0.2127, 0.1003, 0.7307)
Fe (0.2127, 0.3997, 0.2307)
Fe (0.7873, 0.6003, 0.7693)
Fe (0.7873, 0.8997, 0.2693)
Ge (0.2166, 0.6577, 0.4591)
Ge (0.2166, 0.8423, 0.9591)
Ge (0.2975, 0.5889, 0.7203)
Ge (0.2975, 0.9111, 0.2203)
Ge (0.7025, 0.0889, 0.7797)
Ge (0.7025, 0.4111, 0.2797)
Ge (0.7834, 0.1577, 0.0409)
Ge (0.7834, 0.3423, 0.5409)
O (0.0143, 0.6625, 0.9242)
O (0.0143, 0.8375, 0.4242)
O (0.1523, 0.6886, 0.1849)
O (0.1523, 0.8114, 0.6849)
O (0.2052, 0.0485, 0.8732)
O (0.2052, 0.4515, 0.3732)
O (0.2203, 0.1096, 0.2796)
O (0.2203, 0.3904, 0.7796)
O (0.2554, 0.5013, 0.5791)
O (0.2554, 0.9987, 0.0791)
O (0.4097, 0.6750, 0.9805)
O (0.4097, 0.8250, 0.4805)
O (0.4349, 0.1251, 0.6933)
O (0.4349, 0.3749, 0.1933)
O (0.5651, 0.6251, 0.8067)
O (0.5651, 0.8749, 0.3067)
O (0.5903, 0.1750, 0.5195)
O (0.5903, 0.3250, 0.0195)
O (0.7446, 0.0013, 0.9209)
O (0.7446, 0.4987, 0.4209)
O (0.7797, 0.6096, 0.2204)
O (0.7797, 0.8904, 0.7204)
O (0.7948, 0.5485, 0.6268)
O (0.7948, 0.9515, 0.1268)
O (0.8477, 0.1886, 0.3151)
O (0.8477, 0.3114, 0.8151)
O (0.9857, 0.1625, 0.5758)
O (0.9857, 0.3375, 0.0758)

---

No. 2
# Al2FeSi2O10
Theoretical powder diffractogram, Cu Kα, 1.54184 Å. Input: the PBE+U geometry in the Materials Project.
Intensities are scaled so that the largest is 100.

Peak list (8 most intense, 2θ from 10° to 90°, in order of falling intensity)
15.9°, 5.577 Å, intensity 100
18.6°, 4.768 Å, intensity 83
29.4°, 3.041 Å, intensity 67
18.3°, 4.856 Å, intensity 64
26.2°, 3.406 Å, intensity 54
34.8°, 2.576 Å, intensity 47
50.0°, 1.824 Å, intensity 31
32.6°, 2.745 Å, intensity 29

Cell and atoms:
abc: 11.8638 11.8638 5.2747
angles: 90.00 90.00 109.91
Fractional coordinates of all 60 atoms:
Al (0.0384, 0.9616, 0.7500)
Al (0.0595, 0.5595, 0.2500)
Al (0.4405, 0.9405, 0.2500)
Al (0.4616, 0.5384, 0.7500)
Al (0.5384, 0.4616, 0.2500)
Al (0.5595, 0.0595, 0.7500)
Al (0.9405, 0.4405, 0.7500)
Al (0.9616, 0.0384, 0.2500)
Fe (0.1195, 0.8805, 0.2500)
Fe (0.3805, 0.6195, 0.2500)
Fe (0.6195, 0.3805, 0.7500)
Fe (0.8805, 0.1195, 0.7500)
Si (0.0851, 0.3132, 0.0836)
Si (0.1868, 0.4149, 0.5836)
Si (0.3132, 0.0851, 0.5836)
Si (0.4149, 0.1868, 0.0836)
Si (0.5851, 0.8132, 0.9164)
Si (0.6868, 0.9149, 0.4164)
Si (0.8132, 0.5851, 0.4164)
Si (0.9149, 0.6868, 0.9164)
O (0.0183, 0.4131, 0.0644)
O (0.0183, 0.8189, 0.9113)
O (0.0231, 0.1010, 0.5804)
O (0.0869, 0.4817, 0.5644)
O (0.1005, 0.7260, 0.3519)
O (0.1010, 0.0231, 0.0804)
O (0.1699, 0.3305, 0.3326)
O (0.1695, 0.3301, 0.8326)
O (0.1811, 0.9817, 0.5887)
O (0.2260, 0.6005, 0.1481)
O (0.2740, 0.8995, 0.1481)
O (0.3189, 0.5183, 0.5887)
O (0.3301, 0.1695, 0.3326)
O (0.3305, 0.1699, 0.8326)
O (0.3990, 0.4769, 0.0804)
O (0.3995, 0.7740, 0.3519)
O (0.4131, 0.0183, 0.5644)
O (0.4769, 0.3990, 0.5804)
O (0.4817, 0.0869, 0.0644)
O (0.4817, 0.6811, 0.9113)
O (0.5183, 0.3189, 0.0887)
O (0.5183, 0.9131, 0.9356)
O (0.5231, 0.6010, 0.4196)
O (0.5869, 0.9817, 0.4356)
O (0.6005, 0.2260, 0.6481)
O (0.6010, 0.5231, 0.9196)
O (0.6695, 0.8301, 0.1674)
O (0.6699, 0.8305, 0.6674)
O (0.6811, 0.4817, 0.4113)
O (0.7260, 0.1005, 0.8519)
O (0.7740, 0.3995, 0.8519)
O (0.8189, 0.0183, 0.4113)
O (0.8305, 0.6699, 0.1674)
O (0.8301, 0.6695, 0.6674)
O (0.8990, 0.9769, 0.9196)
O (0.8995, 0.2740, 0.6481)
O (0.9131, 0.5183, 0.4356)
O (0.9769, 0.8990, 0.4196)
O (0.9817, 0.1811, 0.0887)
O (0.9817, 0.5869, 0.9356)

---

No. 3
# Fe9O10
Theoretical powder diffractogram, Cu Kα, 1.54184 Å. Input: the PBE+U geometry in the Materials Project.
Intensities are scaled so that the largest is 100.

Peak list (8 most intense, 2θ from 10° to 90°, in order of falling intensity)
41.2°, 2.190 Å, intensity 100
41.5°, 2.177 Å, intensity 97
41.9°, 2.156 Å, intensity 97
35.7°, 2.516 Å, intensity 89
35.8°, 2.505 Å, intensity 87
60.2°, 1.537 Å, intensity 81
59.9°, 1.545 Å, intensity 27
60.0°, 1.543 Å, intensity 27

Cell and atoms:
abc: 5.3568 6.1428 6.8852
angles: 103.28 97.40 107.38
Fractional coordinates of all 19 atoms:
Fe (0.0000, 0.0000, 0.0000)
Fe (0.1929, 0.8889, 0.3879)
Fe (0.2014, 0.4037, 0.3856)
Fe (0.3813, 0.7950, 0.8008)
Fe (0.4074, 0.3057, 0.8043)
Fe (0.5926, 0.6943, 0.1957)
Fe (0.6187, 0.2050, 0.1992)
Fe (0.7986, 0.5963, 0.6143)
Fe (0.8071, 0.1111, 0.6121)
O (0.1120, 0.9462, 0.7045)
O (0.1219, 0.4468, 0.6841)
O (0.3226, 0.3301, 0.1122)
O (0.3314, 0.8681, 0.0977)
O (0.4990, 0.2340, 0.4833)
O (0.5010, 0.7660, 0.5167)
O (0.6686, 0.1319, 0.9023)
O (0.6774, 0.6699, 0.8878)
O (0.8781, 0.5532, 0.3159)
O (0.8880, 0.0538, 0.2955)

---

No. 4
# CeFeAsO
Theoretical powder diffractogram, Cu Kα, 1.54184 Å. Input: the PBE+U geometry in the Materials Project.
Intensities are scaled so that the largest is 100.

Peak list (8 most intense, 2θ from 10° to 90°, in order of falling intensity)
30.0°, 2.974 Å, intensity 100
55.6°, 1.652 Å, intensity 39
45.7°, 1.987 Å, intensity 36
37.8°, 2.381 Å, intensity 35
52.2°, 1.752 Å, intensity 23
31.8°, 2.810 Å, intensity 23
33.4°, 2.681 Å, intensity 22
37.7°, 2.389 Å, intensity 15

Cell and atoms:
abc: 3.9737 3.9737 8.9678
angles: 90.00 90.00 90.00
Fractional coordinates of all 8 atoms:
Ce (0.2500, 0.2500, 0.1384)
Ce (0.7500, 0.7500, 0.8616)
Fe (0.2500, 0.7500, 0.5000)
Fe (0.7500, 0.2500, 0.5000)
As (0.2500, 0.2500, 0.6887)
As (0.7500, 0.7500, 0.3113)
O (0.2500, 0.7500, 0.0000)
O (0.7500, 0.2500, 0.0000)

---

No. 5
# Te2W2N2O15
Theoretical powder diffractogram, Cu Kα, 1.54184 Å. Input: the PBE+U geometry in the Materials Project.
Intensities are scaled so that the largest is 100.

Peak list (8 most intense, 2θ from 10° to 90°, in order of falling intensity)
14.8°, 5.996 Å, intensity 100
29.7°, 3.010 Å, intensity 38
28.5°, 3.127 Å, intensity 36
29.9°, 2.992 Å, intensity 36
28.4°, 3.147 Å, intensity 28
49.7°, 1.835 Å, intensity 25
59.0°, 1.565 Å, intensity 15
34.4°, 2.604 Å, intensity 15

Cell and atoms:
abc: 7.3431 7.3431 7.3431
angles: 120.08 119.49 90.37
Fractional coordinates of all 21 atoms:
Te (0.0000, 0.2493, 0.2493)
Te (0.0000, 0.7507, 0.7507)
W (0.4989, 0.7487, 0.7502)
W (0.9985, 0.7487, 0.2498)
N (0.5138, 0.2207, 0.2931)
N (0.9276, 0.2207, 0.7069)
O (0.0605, 0.0609, 0.3723)
O (0.0605, 0.6882, 0.9995)
O (0.0702, 0.0702, 0.0000)
O (0.3025, 0.8025, 0.5000)
O (0.3112, 0.4354, 0.5048)
O (0.3112, 0.8065, 0.8758)
O (0.3827, 0.2329, 0.8503)
O (0.3827, 0.5324, 0.1497)
O (0.4464, 0.4464, 0.0000)
O (0.6886, 0.0609, 0.0005)
O (0.6886, 0.6882, 0.6277)
O (0.6938, 0.6938, 0.0000)
O (0.9315, 0.4315, 0.5000)
O (0.9306, 0.4354, 0.1242)
O (0.9306, 0.8065, 0.4952)

---

No. 6
# Li7Mn5O12
Theoretical powder diffractogram, Cu Kα, 1.54184 Å. Input: the PBE+U geometry in the Materials Project.
Intensities are scaled so that the largest is 100.

Peak list (8 most intense, 2θ from 10° to 90°, in order of falling intensity)
18.3°, 4.860 Å, intensity 100
40.4°, 2.232 Å, intensity 35
44.2°, 2.047 Å, intensity 28
44.7°, 2.026 Å, intensity 27
33.9°, 2.647 Å, intensity 16
61.5°, 1.509 Å, intensity 16
61.9°, 1.500 Å, intensity 16
36.3°, 2.476 Å, intensity 12

Cell and atoms:
abc: 5.3214 5.7278 7.7266
angles: 78.77 74.37 89.61
Fractional coordinates of all 24 atoms:
Li (0.0000, 0.0000, 0.0000)
Li (0.1560, 0.9177, 0.3158)
Li (0.1722, 0.4128, 0.3249)
Li (0.4497, 0.2359, 0.0186)
Li (0.5503, 0.7641, 0.9814)
Li (0.8278, 0.5872, 0.6751)
Li (0.8440, 0.0823, 0.6842)
Mn (0.0000, 0.5000, 0.0000)
Mn (0.3255, 0.8366, 0.6747)
Mn (0.3384, 0.3326, 0.6695)
Mn (0.6616, 0.6674, 0.3305)
Mn (0.6745, 0.1634, 0.3253)
O (0.0138, 0.6887, 0.1869)
O (0.0714, 0.2204, 0.1601)
O (0.2507, 0.1264, 0.5228)
O (0.2918, 0.6250, 0.4997)
O (0.4276, 0.5455, 0.8154)
O (0.4301, 0.0525, 0.8155)
O (0.5699, 0.9475, 0.1845)
O (0.5724, 0.4545, 0.1846)
O (0.7082, 0.3750, 0.5003)
O (0.7493, 0.8736, 0.4772)
O (0.9286, 0.7796, 0.8399)
O (0.9862, 0.3113, 0.8131)

---

No. 7
# MgCrPtO2
Theoretical powder diffractogram, Cu Kα, 1.54184 Å. Input: the PBE+U geometry in the Materials Project.
Intensities are scaled so that the largest is 100.

Peak list (8 most intense, 2θ from 10° to 90°, in order of falling intensity)
10.9°, 8.129 Å, intensity 100
35.7°, 2.512 Å, intensity 65
38.0°, 2.366 Å, intensity 62
21.9°, 4.065 Å, intensity 62
46.2°, 1.963 Å, intensity 46
35.2°, 2.553 Å, intensity 39
43.8°, 2.066 Å, intensity 26
39.7°, 2.271 Å, intensity 24

Cell and atoms:
abc: 2.9640 2.9640 8.3085
angles: 100.31 100.31 59.99
Fractional coordinates of all 5 atoms:
Mg (0.0000, 0.0000, 0.0000)
Cr (0.7773, 0.7773, 0.3276)
Pt (0.2504, 0.2504, 0.7529)
O (0.1489, 0.1489, 0.4420)
O (0.3913, 0.3913, 0.1705)

---

No. 8
# CsHoW2O8
Theoretical powder diffractogram, Cu Kα, 1.54184 Å. Input: the PBE+U geometry in the Materials Project.
Intensities are scaled so that the largest is 100.

Peak list (8 most intense, 2θ from 10° to 90°, in order of falling intensity)
28.9°, 3.085 Å, intensity 100
27.0°, 3.300 Å, intensity 96
30.9°, 2.898 Å, intensity 44
27.2°, 3.280 Å, intensity 32
27.8°, 3.212 Å, intensity 27
33.1°, 2.706 Å, intensity 26
48.9°, 1.862 Å, intensity 22
54.8°, 1.675 Å, intensity 21

Cell and atoms:
abc: 7.6548 7.6548 7.5700
angles: 117.41 117.41 88.59
Fractional coordinates of all 24 atoms:
Cs (0.1978, 0.8022, 0.7500)
Cs (0.8022, 0.1978, 0.2500)
Ho (0.2234, 0.7766, 0.2500)
Ho (0.7766, 0.2234, 0.7500)
W (0.3014, 0.3127, 0.2826)
W (0.3127, 0.3014, 0.7826)
W (0.6873, 0.6986, 0.2174)
W (0.6986, 0.6873, 0.7174)
O (0.0490, 0.2191, 0.7007)
O (0.0608, 0.3717, 0.1237)
O (0.2191, 0.0490, 0.2007)
O (0.2497, 0.3798, 0.5647)
O (0.3713, 0.5909, 0.0361)
O (0.3717, 0.0608, 0.6237)
O (0.3798, 0.2497, 0.0647)
O (0.4091, 0.6287, 0.4639)
O (0.5909, 0.3713, 0.5361)
O (0.6202, 0.7503, 0.9353)
O (0.6283, 0.9392, 0.3763)
O (0.6287, 0.4091, 0.9639)
O (0.7503, 0.6202, 0.4353)
O (0.7809, 0.9510, 0.7993)
O (0.9392, 0.6283, 0.8763)
O (0.9510, 0.7809, 0.2993)

---

No. 9
# LiSbMo2O8
Theoretical powder diffractogram, Cu Kα, 1.54184 Å. Input: the PBE+U geometry in the Materials Project.
Intensities are scaled so that the largest is 100.

Peak list (8 most intense, 2θ from 10° to 90°, in order of falling intensity)
28.3°, 3.159 Å, intensity 100
25.6°, 3.486 Å, intensity 99
29.6°, 3.013 Å, intensity 46
24.6°, 3.623 Å, intensity 32
32.3°, 2.771 Å, intensity 27
33.0°, 2.717 Å, intensity 23
49.0°, 1.861 Å, intensity 21
49.5°, 1.840 Å, intensity 20

Cell and atoms:
abc: 11.3320 11.3320 5.6339
angles: 100.12 100.12 25.60
Fractional coordinates of all 24 atoms:
Li (0.0000, 0.5000, 0.0000)
Li (0.5000, 0.0000, 0.5000)
Sb (0.1879, 0.8121, 0.2500)
Sb (0.8121, 0.1879, 0.7500)
Mo (0.1140, 0.6106, 0.7177)
Mo (0.3894, 0.8860, 0.7823)
Mo (0.6106, 0.1140, 0.2177)
Mo (0.8860, 0.3894, 0.2823)
O (0.0405, 0.8555, 0.8823)
O (0.1138, 0.2074, 0.9585)
O (0.1445, 0.9595, 0.6177)
O (0.1962, 0.3845, 0.7130)
O (0.2074, 0.1138, 0.4585)
O (0.3484, 0.4429, 0.5078)
O (0.3845, 0.1962, 0.2130)
O (0.4429, 0.3484, 0.0078)
O (0.5571, 0.6516, 0.9922)
O (0.6155, 0.8038, 0.7870)
O (0.6516, 0.5571, 0.4922)
O (0.7926, 0.8862, 0.5415)
O (0.8038, 0.6155, 0.2870)
O (0.8555, 0.0405, 0.3823)
O (0.8862, 0.7926, 0.0415)
O (0.9595, 0.1445, 0.1177)